# 1
The following is a theoretical powder XRD pattern of Tm2HfIn3Ir2. It was derived from a crystal structure in OQMD, relaxed with PBE, using CuKα.

Atomic structure:
Cell lengths 3.430, 13.123, 7.672 Å; angles 90.00, 90.00, 90.00 degrees
Space group Amm2 (No. 38)
Inequivalent atoms, fractional coordinates:
Tm 0.000 0.210 0.000 (multiplicity 4)
Hf 0.000 0.000 0.638 (multiplicity 2)
In 0.500 0.000 0.977 (multiplicity 2)
In 0.500 0.115 0.330 (multiplicity 4)
Ir 0.500 0.158 0.706 (multiplicity 4)

The 10 most intense peaks (2θ = 10–80°), in order of rising 2θ:
2θ = 13.37°, d = 6.623 Å, rel. 39, hkl 0 1 1
2θ = 35.09°, d = 2.557 Å, rel. 45, hkl 1 0 2
2θ = 35.25°, d = 2.546 Å, rel. 100, hkl 1 3 1
2θ = 35.77°, d = 2.510 Å, rel. 41, hkl 0 1 3
2θ = 36.02°, d = 2.493 Å, rel. 37, hkl 0 4 2
2θ = 36.17°, d = 2.483 Å, rel. 30, hkl 0 5 1
2θ = 37.76°, d = 2.383 Å, rel. 63, hkl 1 2 2
2θ = 37.95°, d = 2.371 Å, rel. 41, hkl 1 4 0
2θ = 53.42°, d = 1.715 Å, rel. 23, hkl 2 0 0
2θ = 66.17°, d = 1.412 Å, rel. 22, hkl 2 4 2

---

# 2
The following is a theoretical powder XRD pattern of PrDyIn2Ni4. It was derived from a crystal structure in OQMD, relaxed with PBE, using CuKα.

Atomic structure:
Cell lengths 4.057, 5.161, 7.101 Å; angles 90.00, 90.00, 90.00 degrees
Space group Pmm2 (No. 25)
Inequivalent atoms, fractional coordinates:
Pr 0.000 0.000 0.000 (multiplicity 1)
Dy 0.000 0.500 0.545 (multiplicity 1)
In 0.500 0.000 0.622 (multiplicity 1)
In 0.500 0.500 0.927 (multiplicity 1)
Ni 0.000 0.000 0.389 (multiplicity 1)
Ni 0.000 0.500 0.173 (multiplicity 1)
Ni 0.500 0.254 0.281 (multiplicity 2)

The 10 most intense peaks (2θ = 10–80°), in order of rising 2θ:
2θ = 30.73°, d = 2.909 Å, rel. 100, hkl 1 1 1
2θ = 33.54°, d = 2.672 Å, rel. 23, hkl 1 0 2
2θ = 34.77°, d = 2.580 Å, rel. 31, hkl 0 2 0
2θ = 37.94°, d = 2.371 Å, rel. 79, hkl 1 1 2
2θ = 42.00°, d = 2.151 Å, rel. 26, hkl 0 1 3
2θ = 43.35°, d = 2.087 Å, rel. 26, hkl 0 2 2
2θ = 43.47°, d = 2.082 Å, rel. 24, hkl 1 2 1
2θ = 44.68°, d = 2.028 Å, rel. 34, hkl 2 0 0
2θ = 47.86°, d = 1.901 Å, rel. 19, hkl 1 1 3
2θ = 64.01°, d = 1.455 Å, rel. 16, hkl 2 2 2

---

# 3
The following is a theoretical powder XRD pattern of SmTaN2O. It was derived from a crystal structure in OQMD, relaxed with PBE, using CuKα.

Atomic structure:
Cell lengths 5.608, 9.807, 9.808 Å; angles 71.56, 89.99, 89.98 degrees
Space group P1 (No. 1)
Inequivalent atoms, fractional coordinates:
Sm 0.000 0.000 0.000 (multiplicity 1)
Sm 0.002 0.498 0.503 (multiplicity 1)
Sm 0.471 0.257 0.744 (multiplicity 1)
Sm 0.476 0.758 0.245 (multiplicity 1)
Sm 0.497 0.053 0.447 (multiplicity 1)
Sm 0.504 0.555 0.945 (multiplicity 1)
Sm 0.971 0.299 0.202 (multiplicity 1)
Sm 0.975 0.795 0.707 (multiplicity 1)
Ta 0.004 0.411 0.849 (multiplicity 1)
Ta 0.004 0.647 0.100 (multiplicity 1)
Ta 0.467 0.145 0.095 (multiplicity 1)
Ta 0.498 0.415 0.340 (multiplicity 1)
Ta 0.503 0.652 0.592 (multiplicity 1)
Ta 0.503 0.902 0.857 (multiplicity 1)
Ta 0.966 0.146 0.592 (multiplicity 1)
Ta 0.997 0.892 0.362 (multiplicity 1)
N 0.075 0.015 0.489 (multiplicity 1)
N 0.075 0.516 0.987 (multiplicity 1)
N 0.184 0.530 0.274 (multiplicity 1)
N 0.184 0.730 0.471 (multiplicity 1)
N 0.189 0.232 0.973 (multiplicity 1)
N 0.266 0.787 0.018 (multiplicity 1)
N 0.270 0.483 0.723 (multiplicity 1)
N 0.270 0.985 0.220 (multiplicity 1)
N 0.574 0.538 0.464 (multiplicity 1)
N 0.576 0.044 0.962 (multiplicity 1)
N 0.684 0.827 0.476 (multiplicity 1)
N 0.686 0.525 0.178 (multiplicity 1)
N 0.687 0.024 0.678 (multiplicity 1)
N 0.767 0.571 0.732 (multiplicity 1)
N 0.768 0.775 0.931 (multiplicity 1)
N 0.771 0.273 0.431 (multiplicity 1)
O 0.186 0.040 0.773 (multiplicity 1)
O 0.267 0.281 0.530 (multiplicity 1)
O 0.378 0.262 0.245 (multiplicity 1)
O 0.380 0.766 0.740 (multiplicity 1)
O 0.686 0.326 0.989 (multiplicity 1)
O 0.767 0.082 0.230 (multiplicity 1)
O 0.878 0.800 0.207 (multiplicity 1)
O 0.881 0.290 0.715 (multiplicity 1)

The 10 most intense peaks (2θ = 10–80°), in order of rising 2θ:
2θ = 31.20°, d = 2.867 Å, rel. 23, hkl 0 2 -2
2θ = 31.68°, d = 2.824 Å, rel. 100, hkl -1 3 1
2θ = 31.91°, d = 2.804 Å, rel. 24, hkl 2 0 0
2θ = 45.23°, d = 2.005 Å, rel. 20, hkl 2 2 -2
2θ = 45.61°, d = 1.989 Å, rel. 12, hkl 0 4 4
2θ = 55.82°, d = 1.647 Å, rel. 15, hkl 1 -5 1
2θ = 56.29°, d = 1.634 Å, rel. 10, hkl 0 6 2
2θ = 56.73°, d = 1.623 Å, rel. 31, hkl -2 4 4
2θ = 66.19°, d = 1.412 Å, rel. 13, hkl -2 6 2
2θ = 75.50°, d = 1.259 Å, rel. 11, hkl -1 7 5

---

# 4
The following is a theoretical powder XRD pattern of HgF2. It was derived from a crystal structure in OQMD, relaxed with PBE, using CuKα.

Atomic structure:
Cell lengths 3.7023, 3.7023, 7.1515 Å; angles 90.00, 90.00, 120.00 degrees
Space group P6_3mc (No. 186)
Inequivalent atoms, fractional coordinates:
Hg 0.3333 0.6667 0.0000 (multiplicity 2)
F 0.0000 0.0000 0.3742 (multiplicity 2)
F 0.3333 0.6667 0.6371 (multiplicity 2)

The 10 most intense peaks (2θ = 10–80°), in order of rising 2θ:
2θ = 24.90°, d = 3.576 Å, rel. 41, hkl 0 0 2
2θ = 27.82°, d = 3.206 Å, rel. 19, hkl 1 0 0
2θ = 30.56°, d = 2.926 Å, rel. 100, hkl 1 0 1
2θ = 37.68°, d = 2.387 Å, rel. 23, hkl 1 0 2
2θ = 47.53°, d = 1.913 Å, rel. 40, hkl 1 0 3
2θ = 49.22°, d = 1.851 Å, rel. 29, hkl 1 1 0
2θ = 55.93°, d = 1.644 Å, rel. 28, hkl 1 1 2
2θ = 59.05°, d = 1.564 Å, rel. 16, hkl 2 0 1
2θ = 70.83°, d = 1.330 Å, rel. 12, hkl 2 0 3
2θ = 72.34°, d = 1.306 Å, rel. 11, hkl 1 0 5

---

# 5
The following is a theoretical powder XRD pattern of Cu7Ag3. It was derived from a crystal structure in OQMD, relaxed with PBE, using CuKα.

Atomic structure:
Cell lengths 6.677, 2.764, 7.496 Å; angles 90.00, 99.26, 90.00 degrees
Space group Pm (No. 6)
Inequivalent atoms, fractional coordinates:
Cu 0.000 0.000 0.000 (multiplicity 1)
Cu 0.071 0.500 0.287 (multiplicity 1)
Cu 0.279 0.500 0.913 (multiplicity 1)
Cu 0.361 0.000 0.199 (multiplicity 1)
Cu 0.436 0.500 0.486 (multiplicity 1)
Cu 0.537 0.000 0.769 (multiplicity 1)
Cu 0.840 0.500 0.734 (multiplicity 1)
Ag 0.142 0.000 0.610 (multiplicity 1)
Ag 0.674 0.500 0.073 (multiplicity 1)
Ag 0.753 0.000 0.412 (multiplicity 1)

The 10 most intense peaks (2θ = 10–80°), in order of rising 2θ:
2θ = 34.64°, d = 2.590 Å, rel. 7, hkl 0 1 1
2θ = 40.93°, d = 2.205 Å, rel. 49, hkl 3 0 -1
2θ = 41.09°, d = 2.197 Å, rel. 55, hkl 1 0 3
2θ = 41.76°, d = 2.163 Å, rel. 100, hkl 1 1 -2
2θ = 45.77°, d = 1.982 Å, rel. 77, hkl 2 1 1
2θ = 52.71°, d = 1.736 Å, rel. 19, hkl 2 0 -4
2θ = 65.65°, d = 1.422 Å, rel. 10, hkl 4 0 2
2θ = 67.80°, d = 1.382 Å, rel. 12, hkl 0 2 0
2θ = 72.23°, d = 1.308 Å, rel. 12, hkl 4 1 -3
2θ = 72.45°, d = 1.305 Å, rel. 13, hkl 0 1 5

---

# 6
The following is a theoretical powder XRD pattern of Ni3Bi2S2. It was derived from a crystal structure in OQMD, relaxed with PBE, using CuKα.

Atomic structure:
Cell lengths 8.018, 8.018, 8.018 Å; angles 90.00, 90.00, 90.00 degrees
Space group I2_13 (No. 199)
Inequivalent atoms, fractional coordinates:
Ni 0.000 0.250 0.267 (multiplicity 12)
Bi 0.003 0.003 0.003 (multiplicity 8)
S 0.229 0.271 0.729 (multiplicity 8)

The 10 most intense peaks (2θ = 10–80°), in order of rising 2θ:
2θ = 22.17°, d = 4.009 Å, rel. 54, hkl 2 0 0
2θ = 31.56°, d = 2.835 Å, rel. 100, hkl 2 2 0
2θ = 38.91°, d = 2.314 Å, rel. 68, hkl 2 2 2
2θ = 45.24°, d = 2.004 Å, rel. 48, hkl 4 0 0
2θ = 50.94°, d = 1.793 Å, rel. 29, hkl 4 0 2
2θ = 56.21°, d = 1.637 Å, rel. 39, hkl 4 2 2
2θ = 65.90°, d = 1.417 Å, rel. 30, hkl 4 4 0
2θ = 70.47°, d = 1.336 Å, rel. 15, hkl 6 0 0
2θ = 74.91°, d = 1.268 Å, rel. 16, hkl 6 2 0
2θ = 79.26°, d = 1.209 Å, rel. 26, hkl 6 2 2

---

# 7
The following is a theoretical powder XRD pattern of RbMgBiPd. It was derived from a crystal structure in OQMD, relaxed with PBE, using CuKα.

Atomic structure:
Cell lengths 7.464, 7.464, 7.464 Å; angles 90.00, 90.00, 90.00 degrees
Space group F-43m (No. 216)
Inequivalent atoms, fractional coordinates:
Rb 0.000 0.000 0.000 (multiplicity 4)
Mg 0.250 0.250 0.750 (multiplicity 4)
Bi 0.000 0.000 0.500 (multiplicity 4)
Pd 0.250 0.250 0.250 (multiplicity 4)

The 10 most intense peaks (2θ = 10–80°), in order of rising 2θ:
2θ = 20.61°, d = 4.309 Å, rel. 26, hkl 1 1 1
2θ = 23.84°, d = 3.732 Å, rel. 16, hkl 2 0 0
2θ = 33.97°, d = 2.639 Å, rel. 100, hkl 2 2 0
2θ = 40.07°, d = 2.250 Å, rel. 15, hkl 3 1 1
2θ = 41.93°, d = 2.155 Å, rel. 5, hkl 2 2 2
2θ = 48.81°, d = 1.866 Å, rel. 18, hkl 4 0 0
2θ = 53.52°, d = 1.712 Å, rel. 7, hkl 3 3 1
2θ = 55.02°, d = 1.669 Å, rel. 7, hkl 4 2 0
2θ = 60.80°, d = 1.524 Å, rel. 37, hkl 4 2 2
2θ = 71.51°, d = 1.319 Å, rel. 12, hkl 4 4 0